Structure and simulated XRD peak list of Nb5Tc4Rh (the GGA-PBE geometry in Alexandria; copper Kα).
Kinematic intensities with the Lorentz-polarization factor, no thermal factor.

Peak list (7 most intense, 10 to 90 degrees two-theta, by angle)
hkl  two_theta  I_rel
1 1 0  39.89  100
2 0 0  57.59  11
0 0 10  57.86  5
2 1 5  72.37  22
1 1 10  72.55  11
2 2 0  85.88  4
2 0 10  86.11  7

Structure:
Lattice parameters (Å, degrees): 3.2009 3.2009 15.9361 90.00 90.00 90.00
Fractional coordinates of all 10 atoms:
1 Nb 0.0000 0.0000 0.0000
2 Nb 0.0000 0.0000 0.1999
3 Nb 0.0000 0.0000 0.3971
4 Nb 0.0000 0.0000 0.6029
5 Nb 0.0000 0.0000 0.8001
6 Tc 0.5000 0.5000 0.0998
7 Tc 0.5000 0.5000 0.3010
8 Tc 0.5000 0.5000 0.6990
9 Tc 0.5000 0.5000 0.9002
10 Rh 0.5000 0.5000 0.5000